Computed PXRD pattern
Compound: InFeCoO4
Radiation: Cu Kα
Structure: a PBE+U-relaxed structure

Lattice parameters (Å, degrees): 6.2356 6.2356 6.2356 120.88 119.20 89.94
Sites, in units of the cell vectors:
In: 0.0000 0.0000 0.0000
In: 0.5000 0.0000 0.5000
Fe: 0.5000 0.0000 0.0000
Fe: 0.5000 0.5000 0.5000
Co: 0.1258 0.3758 0.7500
Co: 0.8742 0.6242 0.2500
O: 0.2661 0.2584 0.4924
O: 0.2661 0.7737 0.0076
O: 0.2747 0.2486 0.0261
O: 0.2776 0.7514 0.5261
O: 0.7224 0.2486 0.4739
O: 0.7253 0.7514 0.9739
O: 0.7339 0.2263 0.9924
O: 0.7339 0.7416 0.5077

Largest 8 diffraction maxima, sorted by position, 5° ≤ 2θ ≤ 70°:
2theta	d/Å	intensity
17.57	5.047	52.6
28.64	3.117	23.6
33.49	2.675	100.0
33.78	2.654	49.5
33.98	2.639	38.4
40.95	2.204	51.3
54.36	1.688	25.6
59.29	1.559	58.6


Computed PXRD pattern
Compound: CaV2P2H8O14
Radiation: Cu Kα
Structure: a PBE+U-relaxed structure

Lattice parameters (Å, degrees): 6.4230 6.4565 6.7510 92.98 109.06 90.12
Sites, in units of the cell vectors:
Ca: 0.0000 0.0000 0.0000
V: 0.0626 0.2965 0.5632
V: 0.4930 0.7913 0.3901
P: 0.0230 0.7981 0.4903
P: 0.5240 0.2965 0.4697
H: 0.0236 0.4295 0.9359
H: 0.2679 0.3732 0.0606
H: 0.2883 0.7009 0.8821
H: 0.4521 0.8929 0.9718
H: 0.5385 0.1736 0.8480
H: 0.6081 0.1546 0.1013
H: 0.7471 0.6055 0.9947
H: 0.9880 0.6425 0.1450
O: 0.0601 0.9922 0.6451
O: 0.1007 0.6081 0.6240
O: 0.1407 0.3244 0.9362
O: 0.1586 0.8163 0.3358
O: 0.3502 0.7958 0.0088
O: 0.3951 0.2871 0.6296
O: 0.4475 0.4787 0.3217
O: 0.4771 0.0981 0.3186
O: 0.5790 0.8069 0.6462
O: 0.6288 0.0957 0.9717
O: 0.7691 0.3157 0.6043
O: 0.7832 0.7755 0.3422
O: 0.8969 0.6267 0.9940
O: 0.9951 0.2537 0.3065

Largest 8 diffraction maxima, sorted by position, 5° ≤ 2θ ≤ 70°:
2theta	d/Å	intensity
13.90	6.371	100.0
20.13	4.410	24.6
27.68	3.223	39.2
28.01	3.185	28.9
28.13	3.172	35.3
29.43	3.035	51.7
30.37	2.943	40.4
31.80	2.814	28.7


Computed PXRD pattern
Compound: AlV2O4
Radiation: Cu Kα
Structure: a PBE+U-relaxed structure

Lattice parameters (Å, degrees): 10.3848 10.3848 10.3848 32.66 32.66 32.66
Sites, in units of the cell vectors:
Al: 0.1839 0.1839 0.1839
Al: 0.3073 0.3073 0.3073
Al: 0.6927 0.6927 0.6927
Al: 0.8161 0.8161 0.8161
V: 0.0000 0.0000 0.0000
V: 0.2671 0.2671 0.7186
V: 0.2671 0.7186 0.2671
V: 0.2814 0.7329 0.7329
V: 0.5000 0.5000 0.5000
V: 0.7186 0.2671 0.2671
V: 0.7329 0.2814 0.7329
V: 0.7329 0.7329 0.2814
O: 0.1168 0.6308 0.6308
O: 0.1202 0.1202 0.6221
O: 0.1202 0.6221 0.1202
O: 0.1222 0.1222 0.1222
O: 0.3691 0.3691 0.3691
O: 0.3692 0.3692 0.8832
O: 0.3692 0.8832 0.3692
O: 0.3779 0.8798 0.8798
O: 0.6221 0.1202 0.1202
O: 0.6308 0.1168 0.6308
O: 0.6308 0.6308 0.1168
O: 0.6309 0.6309 0.6309
O: 0.8778 0.8778 0.8778
O: 0.8798 0.3779 0.8798
O: 0.8798 0.8798 0.3779
O: 0.8832 0.3692 0.3692

Largest 8 diffraction maxima, sorted by position, 5° ≤ 2θ ≤ 70°:
2theta	d/Å	intensity
18.55	4.783	50.2
35.25	2.546	47.5
35.78	2.510	94.4
36.04	2.492	43.1
43.41	2.085	100.0
57.83	1.594	23.8
62.38	1.489	53.0
63.75	1.460	50.2


Computed PXRD pattern
Compound: Na4MgMo2O8
Radiation: Cu Kα
Structure: a PBE+U-relaxed structure

Lattice parameters (Å, degrees): 6.5734 6.5734 6.5734 120.02 119.97 90.01
Sites, in units of the cell vectors:
Na: 0.2100 0.0000 0.2100
Na: 0.2114 0.4239 0.2125
Na: 0.2114 0.9988 0.7875
Na: 0.7900 0.0000 0.7900
Mg: 0.3568 0.8568 0.5000
Mo: 0.6063 0.6063 0.0000
Mo: 0.8555 0.3555 0.5000
O: 0.4804 0.7315 0.7489
O: 0.4807 0.2303 0.7495
O: 0.4807 0.7312 0.2505
O: 0.5201 0.2437 0.2764
O: 0.9673 0.2437 0.2764
O: 0.9673 0.2437 0.7236
O: 0.9673 0.6910 0.7236
O: 0.9826 0.7315 0.2511

Largest 8 diffraction maxima, sorted by position, 5° ≤ 2θ ≤ 70°:
2theta	d/Å	intensity
16.52	5.367	25.6
27.13	3.287	100.0
31.93	2.803	67.4
47.94	1.898	38.3
51.05	1.789	24.4
55.95	1.643	38.3
58.76	1.571	8.0
63.26	1.470	13.3


Computed PXRD pattern
Compound: Li2CoPHO5
Radiation: Cu Kα
Structure: a PBE+U-relaxed structure

Lattice parameters (Å, degrees): 5.3757 5.5114 7.5204 109.13 109.89 94.01
Sites, in units of the cell vectors:
Li: 0.0170 0.1329 0.3411
Li: 0.2725 0.3931 0.2018
Li: 0.7275 0.6069 0.7982
Li: 0.9830 0.8671 0.6589
Co: 0.5000 0.0000 0.0000
Co: 0.5000 0.0000 0.5000
P: 0.1710 0.3769 0.7433
P: 0.8290 0.6231 0.2567
H: 0.1959 0.8977 0.1314
H: 0.8041 0.1023 0.8686
O: 0.1110 0.7740 0.4250
O: 0.1509 0.6698 0.8357
O: 0.2356 0.2491 0.9068
O: 0.3348 0.0554 0.2258
O: 0.3814 0.3521 0.6430
O: 0.6186 0.6479 0.3570
O: 0.6652 0.9446 0.7742
O: 0.7644 0.7509 0.0932
O: 0.8491 0.3302 0.1643
O: 0.8890 0.2260 0.5750

Largest 8 diffraction maxima, sorted by position, 5° ≤ 2θ ≤ 70°:
2theta	d/Å	intensity
17.40	5.097	25.1
17.82	4.978	18.9
17.92	4.949	20.7
26.22	3.399	100.0
26.40	3.376	16.8
27.57	3.236	53.5
36.20	2.481	29.2
53.98	1.699	20.8